Theoretical powder XRD pattern of Nb3Co8Si for λ = 1.5418 Å (Cu Kα), from a cell relaxed with PBE.
No peak broadening, texture or thermal motion is included.

Largest 8 diffraction maxima, by angle, 2θ = 10–80°:
2theta	I_rel
37.85	41
41.81	82
44.96	100
45.65	91
50.39	18
71.05	30
73.32	22
78.05	24

Cell and atoms:
```
data_Nb3Co8Si
_cell_length_a 4.755
_cell_length_b 4.755
_cell_length_c 7.614
_cell_angle_alpha 90.00
_cell_angle_beta 90.00
_cell_angle_gamma 120.00
_space_group_name_H-M_alt 'P 1'
_space_group_IT_number 1
loop_
_space_group_symop_operation_xyz
'x,y,z'
loop_
_atom_site_label
_atom_site_type_symbol
_atom_site_fract_x
_atom_site_fract_y
_atom_site_fract_z
_atom_site_occupancy
Nb1 Nb 0.000 0.000 0.000 1
Nb2 Nb 0.000 0.000 0.374 1
Nb3 Nb 0.667 0.333 0.533 1
Co1 Co 0.164 0.329 0.693 1
Co2 Co 0.164 0.836 0.693 1
Co3 Co 0.333 0.667 0.437 1
Co4 Co 0.333 0.667 0.940 1
Co5 Co 0.503 0.006 0.190 1
Co6 Co 0.503 0.497 0.190 1
Co7 Co 0.671 0.836 0.693 1
Co8 Co 0.994 0.497 0.190 1
Si1 Si 0.667 0.333 0.905 1
```